SrCa7TiMn7O24: theoretical X-ray powder pattern (copper Kα), based on a cell relaxed with GGA+U.
Peak positions follow from Bragg's law for the DFT cell and can differ from measured ones.

Principal peaks in the range 10 to 90 degrees two-theta, low angle first:
h k l  2θ/deg  I (rel.)
1 0 1  11.57  2.1
0 1 2  16.39  2.1
2 0 2  23.26  10.5
1 1 3  26.06  1.7
2 2 0  33.13  100.0
0 4 2  40.88  8.2
4 0 4  47.56  50.3
4 2 2  53.60  2.9
6 0 0  59.19  35.0
4 4 0  69.54  26.7
6 2 4  79.23  14.4
0 8 4  88.61  8.6

Cell and atoms:
a = 10.8134 Å, b = 10.8134 Å, c = 13.2480 Å
α = 90.00°, β = 90.00°, γ = 120.00°
Space group R3m (No. 160, hexagonal axes)
One atom of each set of equivalent atoms:
1 Sr 0.0000 0.0000 0.0000 (multiplicity 3)
2 Ca 0.0000 0.0000 0.5041 (multiplicity 3)
3 Ca 0.0029 0.5014 0.5011 (multiplicity 9)
4 Ca 0.1682 0.3363 0.3360 (multiplicity 9)
5 Ti 0.0000 0.0000 0.2531 (multiplicity 3)
6 Mn 0.0000 0.0000 0.7511 (multiplicity 3)
7 Mn 0.0008 0.5004 0.2517 (multiplicity 9)
8 Mn 0.1670 0.3341 0.0856 (multiplicity 9)
9 O 0.0000 0.2497 0.5019 (multiplicity 18)
10 O 0.0000 0.2534 0.0018 (multiplicity 18)
11 O 0.0832 0.1664 0.6683 (multiplicity 9)
12 O 0.0852 0.1704 0.1692 (multiplicity 9)
13 O 0.1684 0.0842 0.3366 (multiplicity 9)
14 O 0.1688 0.0844 0.8329 (multiplicity 9)